# 1
This entry pairs a crystal structure of CsAlAs3H5O12 with its computed powder diffraction line list. Radiation: Cu Kα. Structure: a structure optimized by DFT (PBE).

Most intense lines, 5° ≤ 2θ ≤ 70°, by angle:
6.787 Å, 2θ = 13.0°, I = 39
3.972 Å, 2θ = 22.4°, I = 53
3.791 Å, 2θ = 23.5°, I = 76
3.413 Å, 2θ = 26.1°, I = 100
3.392 Å, 2θ = 26.3°, I = 22
3.292 Å, 2θ = 27.1°, I = 25
3.190 Å, 2θ = 28.0°, I = 48
3.097 Å, 2θ = 28.8°, I = 51
2.593 Å, 2θ = 34.6°, I = 20
2.397 Å, 2θ = 37.5°, I = 19
2.090 Å, 2θ = 43.3°, I = 18
1.986 Å, 2θ = 45.7°, I = 23

Crystal structure
a = 7.9332 Å, b = 7.9332 Å, c = 15.3158 Å
α = 90.92°, β = 90.92°, γ = 145.35°
Atoms (fractional coordinates):
1 Cs 0.0135 0.9865 0.5000
2 Cs 0.9865 0.0135 0.0000
3 Al 0.1100 0.8259 0.2464
4 Al 0.8259 0.1100 0.7464
5 As 0.2356 0.6530 0.6210
6 As 0.2710 0.7040 0.8694
7 As 0.4703 0.4728 0.2494
8 As 0.4728 0.4703 0.7494
9 As 0.6530 0.2356 0.1210
10 As 0.7040 0.2710 0.3694
11 H 0.1344 0.4701 0.3989
12 H 0.1647 0.4355 0.1943
13 H 0.4355 0.1647 0.6943
14 H 0.4428 0.8294 0.0524
15 H 0.4701 0.1344 0.8989
16 H 0.4784 0.9171 0.5002
17 H 0.6829 0.8862 0.3168
18 H 0.8294 0.4428 0.5524
19 H 0.8862 0.6829 0.8168
20 H 0.9171 0.4784 0.0002
21 O 0.0550 0.3229 0.6439
22 O 0.1583 0.2596 0.8009
23 O 0.1860 0.5853 0.9734
24 O 0.2533 0.4040 0.1704
25 O 0.2596 0.1583 0.3009
26 O 0.2928 0.9465 0.8652
27 O 0.3229 0.0550 0.1439
28 O 0.3916 0.7327 0.5204
29 O 0.4040 0.2533 0.6704
30 O 0.4425 0.9815 0.2938
31 O 0.4959 0.9614 0.6906
32 O 0.5596 0.6910 0.3355
33 O 0.5853 0.1860 0.4734
34 O 0.6061 0.8911 0.8481
35 O 0.6110 0.9852 0.0989
36 O 0.6688 0.7747 0.6944
37 O 0.6910 0.5596 0.8355
38 O 0.7327 0.3916 0.0204
39 O 0.7747 0.6688 0.1944
40 O 0.8911 0.6061 0.3481
41 O 0.9465 0.2928 0.3652
42 O 0.9614 0.4959 0.1906
43 O 0.9815 0.4425 0.7938
44 O 0.9852 0.6110 0.5989



# 2
This entry pairs a crystal structure of AlCu2AsO12 with its computed powder diffraction line list. Radiation: Cu Kα. Structure: a structure optimized by DFT (PBE).

Most intense lines, 5° ≤ 2θ ≤ 70°, by angle:
6.502 Å, 2θ = 13.6°, I = 84
6.028 Å, 2θ = 14.7°, I = 100
4.030 Å, 2θ = 22.1°, I = 28
3.447 Å, 2θ = 25.8°, I = 12
3.017 Å, 2θ = 29.6°, I = 62
2.845 Å, 2θ = 31.4°, I = 12
2.826 Å, 2θ = 31.7°, I = 17
2.780 Å, 2θ = 32.2°, I = 39
2.468 Å, 2θ = 36.4°, I = 14
2.416 Å, 2θ = 37.2°, I = 17
2.238 Å, 2θ = 40.3°, I = 12
2.223 Å, 2θ = 40.6°, I = 21

Crystal structure
a = 8.5172 Å, b = 8.5172 Å, c = 9.9184 Å
α = 120.73°, β = 120.73°, γ = 53.08°
Atoms (fractional coordinates):
1 Al 0.0000 0.5000 0.0000
2 Al 0.5000 0.0000 0.5000
3 Cu 0.0954 0.1387 0.5736
4 Cu 0.1387 0.0954 0.0736
5 Cu 0.8613 0.9046 0.9264
6 Cu 0.9046 0.8613 0.4264
7 As 0.2107 0.7893 0.2500
8 As 0.7893 0.2107 0.7500
9 O 0.0582 0.9182 0.3802
10 O 0.0700 0.5285 0.7396
11 O 0.0784 0.3887 0.7624
12 O 0.0818 0.9418 0.1198
13 O 0.1689 0.2398 0.0127
14 O 0.2270 0.5512 0.1410
15 O 0.2398 0.1689 0.5127
16 O 0.3887 0.0784 0.2624
17 O 0.4329 0.5590 0.5351
18 O 0.4410 0.5671 0.9649
19 O 0.4488 0.7730 0.3590
20 O 0.4715 0.9300 0.7604
21 O 0.5285 0.0700 0.2396
22 O 0.5512 0.2270 0.6410
23 O 0.5590 0.4329 0.0351
24 O 0.5671 0.4410 0.4649
25 O 0.6113 0.9216 0.7376
26 O 0.7602 0.8311 0.4873
27 O 0.7730 0.4488 0.8590
28 O 0.8311 0.7602 0.9873
29 O 0.9182 0.0582 0.8802
30 O 0.9216 0.6113 0.2376
31 O 0.9300 0.4715 0.2604
32 O 0.9418 0.0818 0.6198



# 3
This entry pairs a crystal structure of AlCu2AsO12 with its computed powder diffraction line list. Radiation: Cu Kα. Structure: a structure optimized by DFT (PBE).

Most intense lines, 5° ≤ 2θ ≤ 70°, by angle:
6.566 Å, 2θ = 13.5°, I = 100
5.957 Å, 2θ = 14.9°, I = 100
3.830 Å, 2θ = 23.2°, I = 48
3.440 Å, 2θ = 25.9°, I = 31
2.978 Å, 2θ = 30.0°, I = 47
2.891 Å, 2θ = 30.9°, I = 29
2.855 Å, 2θ = 31.3°, I = 22
2.744 Å, 2θ = 32.6°, I = 19
2.701 Å, 2θ = 33.2°, I = 27
2.618 Å, 2θ = 34.3°, I = 19
2.603 Å, 2θ = 34.5°, I = 13
2.424 Å, 2θ = 37.1°, I = 20

Crystal structure
a = 8.6226 Å, b = 8.6226 Å, c = 9.3556 Å
α = 121.81°, β = 121.81°, γ = 53.24°
Atoms (fractional coordinates):
1 Al 0.0000 0.5000 0.0000
2 Al 0.5000 0.0000 0.5000
3 Cu 0.0893 0.1547 0.5907
4 Cu 0.1547 0.0893 0.0907
5 Cu 0.8453 0.9107 0.9093
6 Cu 0.9107 0.8453 0.4093
7 As 0.2220 0.7780 0.2500
8 As 0.7780 0.2220 0.7500
9 O 0.0673 0.3744 0.7838
10 O 0.0708 0.9163 0.3893
11 O 0.0837 0.9292 0.1107
12 O 0.1606 0.5563 0.7519
13 O 0.1674 0.2310 0.0121
14 O 0.2310 0.1674 0.5121
15 O 0.2360 0.5433 0.1306
16 O 0.3181 0.5725 0.8534
17 O 0.3744 0.0673 0.2838
18 O 0.4275 0.6819 0.6466
19 O 0.4437 0.8394 0.7481
20 O 0.4567 0.7640 0.3694
21 O 0.5433 0.2360 0.6306
22 O 0.5563 0.1606 0.2519
23 O 0.5725 0.3181 0.3534
24 O 0.6256 0.9327 0.7162
25 O 0.6819 0.4275 0.1466
26 O 0.7640 0.4567 0.8694
27 O 0.7690 0.8326 0.4879
28 O 0.8326 0.7690 0.9879
29 O 0.8394 0.4437 0.2481
30 O 0.9163 0.0708 0.8893
31 O 0.9292 0.0837 0.6107
32 O 0.9327 0.6256 0.2162



# 4
This entry pairs a crystal structure of AlCuAsO5 with its computed powder diffraction line list. Radiation: Cu Kα. Structure: a structure optimized by DFT (PBE).

Most intense lines, 5° ≤ 2θ ≤ 70°, by angle:
7.321 Å, 2θ = 12.1°, I = 94
4.945 Å, 2θ = 17.9°, I = 30
4.444 Å, 2θ = 20.0°, I = 78
3.220 Å, 2θ = 27.7°, I = 67
3.200 Å, 2θ = 27.9°, I = 100
3.122 Å, 2θ = 28.6°, I = 30
2.826 Å, 2θ = 31.7°, I = 26
2.714 Å, 2θ = 33.0°, I = 53
2.489 Å, 2θ = 36.1°, I = 48
2.441 Å, 2θ = 36.8°, I = 18
2.181 Å, 2θ = 41.4°, I = 16
1.491 Å, 2θ = 62.3°, I = 15

Crystal structure
a = 7.4481 Å, b = 10.3555 Å, c = 5.7251 Å
α = 90.00°, β = 100.60°, γ = 90.00°
Atoms (fractional coordinates):
1 Al 0.1468 0.1781 0.4366
2 Al 0.1468 0.3219 0.9366
3 Al 0.8532 0.6781 0.0634
4 Al 0.8532 0.8219 0.5634
5 Cu 0.4602 0.1430 0.9081
6 Cu 0.4602 0.3570 0.4081
7 Cu 0.5398 0.6430 0.5919
8 Cu 0.5398 0.8570 0.0919
9 As 0.2737 0.6091 0.0777
10 As 0.2737 0.8909 0.5777
11 As 0.7263 0.1091 0.4223
12 As 0.7263 0.3909 0.9223
13 O 0.0938 0.7011 0.1263
14 O 0.0938 0.7989 0.6263
15 O 0.1976 0.0140 0.3850
16 O 0.1976 0.4860 0.8850
17 O 0.2339 0.2223 0.7335
18 O 0.2339 0.2777 0.2335
19 O 0.3800 0.5389 0.3496
20 O 0.3800 0.9611 0.8496
21 O 0.4305 0.6952 0.9540
22 O 0.4305 0.8048 0.4540
23 O 0.5695 0.1952 0.5460
24 O 0.5695 0.3048 0.0460
25 O 0.6200 0.0389 0.1504
26 O 0.6200 0.4611 0.6504
27 O 0.7661 0.7223 0.7665
28 O 0.7661 0.7777 0.2665
29 O 0.8024 0.5140 0.1150
30 O 0.8024 0.9860 0.6150
31 O 0.9062 0.2011 0.3737
32 O 0.9062 0.2989 0.8737



# 5
This entry pairs a crystal structure of Eu3Al2As4 with its computed powder diffraction line list. Radiation: Cu Kα. Structure: a structure optimized by DFT (PBE).

Most intense lines, 5° ≤ 2θ ≤ 70°, by angle:
3.512 Å, 2θ = 25.4°, I = 58
3.488 Å, 2θ = 25.5°, I = 47
3.385 Å, 2θ = 26.3°, I = 53
3.332 Å, 2θ = 26.8°, I = 47
3.123 Å, 2θ = 28.6°, I = 44
3.028 Å, 2θ = 29.5°, I = 48
3.002 Å, 2θ = 29.8°, I = 60
2.597 Å, 2θ = 34.5°, I = 76
2.582 Å, 2θ = 34.7°, I = 60
2.528 Å, 2θ = 35.5°, I = 67
2.382 Å, 2θ = 37.8°, I = 100
2.365 Å, 2θ = 38.0°, I = 52

Crystal structure
a = 8.4484 Å, b = 8.4484 Å, c = 6.7697 Å
α = 90.36°, β = 90.36°, γ = 75.86°
Atoms (fractional coordinates):
1 Eu 0.0984 0.9016 0.7500
2 Eu 0.2507 0.5060 0.0345
3 Eu 0.4940 0.7493 0.4655
4 Eu 0.5060 0.2507 0.5345
5 Eu 0.7493 0.4940 0.9655
6 Eu 0.9016 0.0984 0.2500
7 Al 0.0808 0.3292 0.5830
8 Al 0.3292 0.0808 0.0830
9 Al 0.6708 0.9192 0.9170
10 Al 0.9192 0.6708 0.4170
11 As 0.0713 0.2425 0.9316
12 As 0.2133 0.5605 0.5260
13 As 0.2425 0.0713 0.4316
14 As 0.4395 0.7867 0.9740
15 As 0.5605 0.2133 0.0260
16 As 0.7575 0.9287 0.5684
17 As 0.7867 0.4395 0.4740
18 As 0.9287 0.7575 0.0684



# 6
This entry pairs a crystal structure of NaAlAsO4F with its computed powder diffraction line list. Radiation: Cu Kα. Structure: a structure optimized by DFT (PBE).

Most intense lines, 5° ≤ 2θ ≤ 70°, by angle:
4.838 Å, 2θ = 18.3°, I = 100
3.580 Å, 2θ = 24.9°, I = 37
3.378 Å, 2θ = 26.4°, I = 54
3.282 Å, 2θ = 27.2°, I = 77
3.215 Å, 2θ = 27.7°, I = 29
3.013 Å, 2θ = 29.6°, I = 82
2.923 Å, 2θ = 30.6°, I = 37
2.594 Å, 2θ = 34.6°, I = 69
2.577 Å, 2θ = 34.8°, I = 48
2.263 Å, 2θ = 39.8°, I = 29
2.233 Å, 2θ = 40.4°, I = 30
1.646 Å, 2θ = 55.8°, I = 32

Crystal structure
a = 5.4567 Å, b = 5.4567 Å, c = 7.1409 Å
α = 105.47°, β = 105.47°, γ = 104.34°
Atoms (fractional coordinates):
1 Na 0.1714 0.8286 0.7500
2 Na 0.8286 0.1714 0.2500
3 Al 0.5000 0.5000 0.0000
4 Al 0.5000 0.5000 0.5000
5 As 0.1865 0.8135 0.2500
6 As 0.8135 0.1865 0.7500
7 O 0.1373 0.2632 0.9142
8 O 0.1964 0.6007 0.3901
9 O 0.2632 0.1373 0.4142
10 O 0.3993 0.8036 0.1099
11 O 0.6007 0.1964 0.8901
12 O 0.7368 0.8627 0.5858
13 O 0.8036 0.3993 0.6099
14 O 0.8627 0.7368 0.0858
15 F 0.4348 0.5652 0.7500
16 F 0.5652 0.4348 0.2500